No. 1
Li9O3F2: computed X-ray diffraction stick pattern (a wavelength of 1.5418 Å), based on a cell relaxed with PBE.
Lines closer than 0.1° are merged.

Atomic structure:
```
data_Li9O3F2
_chemical_formula_sum 'Li18 O6 F4'
_symmetry_space_group_name_H-M 'I -4 m 2'
_symmetry_Int_Tables_number 119
_symmetry_space_group_name_Hall 'I -4 -2'
_cell_length_a 3.3561
_cell_length_b 3.3561
_cell_length_c 28.3748
_cell_angle_alpha 90.00
_cell_angle_beta 90.00
_cell_angle_gamma 90.00
loop_
_atom_site_label
_atom_site_type_symbol
_atom_site_fract_x
_atom_site_fract_y
_atom_site_fract_z
Li1 Li 0.0000 0.0000 0.0000
Li2 Li 0.0000 0.0000 0.1284
Li3 Li 0.0000 0.0000 0.2096
Li4 Li 0.0000 0.0000 0.2912
Li5 Li 0.0000 0.0000 0.3730
O1 O 0.0000 0.5000 0.1683
O2 O 0.0000 0.5000 0.7500
F1 F 0.0000 0.5000 0.6005
```

Most intense lines, 10 to 80 degrees two-theta, in order of rising 2θ:
2θ 12.48, rel. 62, (0 0 4); 2θ 25.11, rel. 6, (0 0 8); 2θ 28.21, rel. 13, (1 0 3); 2θ 30.96, rel. 39, (1 0 5); 2θ 34.70, rel. 100, (1 0 7); 2θ 37.91, rel. 10, (1 1 0); 2θ 40.07, rel. 6, (1 1 4); 2θ 44.29, rel. 7, (1 0 11); 2θ 54.70, rel. 28, (2 0 0); 2θ 54.81, rel. 28, (1 1 12); 2θ 60.03, rel. 21, (1 1 14); 2θ 66.42, rel. 18, (2 1 7)

No. 2
Nd2HPt6Rh: computed X-ray diffraction stick pattern (a wavelength of 1.5418 Å), based on a cell relaxed with PBE.
Lines closer than 0.1° are merged.

Atomic structure:
```
data_Nd2HPt6Rh
_chemical_formula_sum 'Nd4 H2 Pt12 Rh2'
_symmetry_space_group_name_H-M 'I 4/m m m'
_symmetry_Int_Tables_number 139
_symmetry_space_group_name_Hall '-I 4 2'
_cell_length_a 6.3809
_cell_length_b 6.3809
_cell_length_c 9.0038
_cell_angle_alpha 90.00
_cell_angle_beta 90.00
_cell_angle_gamma 90.00
loop_
_atom_site_label
_atom_site_type_symbol
_atom_site_fract_x
_atom_site_fract_y
_atom_site_fract_z
Nd1 Nd 0.0000 0.5000 0.2500
H1 H 0.0000 0.0000 0.0000
Pt1 Pt 0.0000 0.0000 0.2204
Pt2 Pt 0.2208 0.2208 0.0000
Rh1 Rh 0.0000 0.0000 0.5000
```

Most intense lines, 10 to 80 degrees two-theta, in order of rising 2θ:
2θ 17.03, rel. 4, (1 0 1); 2θ 19.69, rel. 10, (0 0 2); 2θ 32.95, rel. 6, (1 0 3); 2θ 34.45, rel. 100, (2 0 2); 2θ 39.99, rel. 67, (2 2 0); 2θ 43.76, rel. 19, (2 1 3); 2θ 52.74, rel. 14, (3 0 3); 2θ 57.85, rel. 40, (4 0 0); 2θ 69.05, rel. 20, (4 2 2); 2θ 69.18, rel. 10, (2 0 6); 2θ 72.64, rel. 12, (4 0 4); 2θ 75.25, rel. 8, (3 2 5)

No. 3
Cs2TiPbO4: computed X-ray diffraction stick pattern (a wavelength of 1.5418 Å), based on a cell relaxed with PBE.
Lines closer than 0.1° are merged.

Atomic structure:
```
data_Cs2TiPbO4
_chemical_formula_sum 'Cs4 Ti2 Pb2 O8'
_symmetry_space_group_name_H-M 'P m m n'
_symmetry_Int_Tables_number 59
_cell_length_a 6.3588
_cell_length_b 8.2079
_cell_length_c 7.0160
_cell_angle_alpha 90.00
_cell_angle_beta 90.00
_cell_angle_gamma 90.00
loop_
_symmetry_equiv_pos_as_xyz
'x,y,z'
'-x,-y,-z'
'-x+1/2,-y+1/2,z'
'x+1/2,y+1/2,-z'
'x+1/2,-y,-z'
'-x+1/2,y,z'
'-x,y+1/2,-z'
'x,-y+1/2,z'
loop_
_atom_site_label
_atom_site_type_symbol
_atom_site_fract_x
_atom_site_fract_y
_atom_site_fract_z
Cs1 Cs 0.2500 0.0092 0.2223
Ti1 Ti 0.2500 0.7500 0.6494
Pb1 Pb 0.2500 0.2500 0.7156
O1 O 0.0088 0.7500 0.4960
O2 O 0.2500 0.5653 0.7917
```

Most intense lines, 10 to 80 degrees two-theta, in order of rising 2θ:
2θ 16.62, rel. 14, (0 1 1); 2θ 17.64, rel. 16, (1 1 0); 2θ 25.39, rel. 30, (0 0 2); 2θ 28.07, rel. 32, (2 0 0); 2θ 28.85, rel. 100, (1 2 1); 2θ 31.09, rel. 11, (1 1 2); 2θ 38.20, rel. 27, (2 0 2); 2θ 44.13, rel. 12, (0 4 0); 2θ 46.94, rel. 15, (1 2 3); 2θ 50.16, rel. 22, (3 2 1); 2θ 51.60, rel. 10, (0 4 2); 2θ 59.77, rel. 12, (2 4 2)

No. 4
Er3Si2Ni2: computed X-ray diffraction stick pattern (a wavelength of 1.5418 Å), based on a cell relaxed with PBE.
Lines closer than 0.1° are merged.

Atomic structure:
```
data_Er3Si2Ni2
_chemical_formula_sum 'Er12 Si8 Ni8'
_symmetry_space_group_name_H-M 'P b c m'
_symmetry_Int_Tables_number 57
_symmetry_space_group_name_Hall '-P 2c 2b'
_cell_length_a 5.4705
_cell_length_b 7.6589
_cell_length_c 12.4026
_cell_angle_alpha 90.00
_cell_angle_beta 90.00
_cell_angle_gamma 90.00
loop_
_atom_site_label
_atom_site_type_symbol
_atom_site_fract_x
_atom_site_fract_y
_atom_site_fract_z
Er1 Er 0.1333 0.1071 0.1025
Er2 Er 0.3646 0.7497 0.2500
Si1 Si 0.1561 0.0998 0.7500
Si2 Si 0.3556 0.7500 0.0000
Ni1 Ni 0.3820 0.0359 0.5890
```

Most intense lines, 10 to 80 degrees two-theta, in order of rising 2θ:
2θ 24.62, rel. 49, (1 1 2); 2θ 27.37, rel. 40, (0 2 2); 2θ 31.85, rel. 50, (0 2 3); 2θ 34.83, rel. 78, (2 1 0); 2θ 35.28, rel. 78, (1 1 4); 2θ 35.60, rel. 40, (2 1 1); 2θ 35.94, rel. 66, (1 2 3); 2θ 37.32, rel. 45, (0 2 4); 2θ 38.93, rel. 78, (1 3 0); 2θ 41.30, rel. 100, (2 1 3); 2θ 43.80, rel. 41, (0 0 6); 2θ 60.00, rel. 37, (1 3 6)

No. 5
AcCePaSn: computed X-ray diffraction stick pattern (a wavelength of 1.5418 Å), based on a cell relaxed with PBE.
Lines closer than 0.1° are merged.

Atomic structure:
```
data_AcCePaSn
_chemical_formula_sum 'Ac4 Ce4 Pa4 Sn4'
_symmetry_space_group_name_H-M 'F -4 3 m'
_symmetry_Int_Tables_number 216
_symmetry_space_group_name_Hall 'F -4 2 3'
_cell_length_a 7.8627
_cell_length_b 7.8627
_cell_length_c 7.8627
_cell_angle_alpha 90.00
_cell_angle_beta 90.00
_cell_angle_gamma 90.00
loop_
_atom_site_label
_atom_site_type_symbol
_atom_site_fract_x
_atom_site_fract_y
_atom_site_fract_z
Ac1 Ac 0.0000 0.0000 0.0000
Ce1 Ce 0.0000 0.0000 0.5000
Pa1 Pa 0.2500 0.2500 0.7500
Sn1 Sn 0.2500 0.2500 0.2500
```

Most intense lines, 10 to 80 degrees two-theta, in order of rising 2θ:
2θ 19.56, rel. 8, (1 1 1); 2θ 32.20, rel. 100, (2 2 0); 2θ 37.95, rel. 5, (3 1 1); 2θ 46.18, rel. 19, (4 0 0); 2θ 50.60, rel. 2, (3 3 1); 2θ 57.41, rel. 40, (4 2 2); 2θ 61.26, rel. 2, (5 1 1); 2θ 67.37, rel. 12, (4 4 0); 2θ 70.91, rel. 2, (5 3 1); 2θ 76.65, rel. 17, (6 2 0)

No. 6
SrHgH: computed X-ray diffraction stick pattern (a wavelength of 1.5418 Å), based on a cell relaxed with PBE.
Lines closer than 0.1° are merged.

Atomic structure:
```
data_SrHgH
_chemical_formula_sum 'Sr6 Hg6 H6'
_symmetry_space_group_name_H-M 'R -3 m'
_symmetry_Int_Tables_number 166
_symmetry_space_group_name_Hall '-R 3 2"'
_cell_length_a 4.2301
_cell_length_b 4.2301
_cell_length_c 28.4054
_cell_angle_alpha 90.00
_cell_angle_beta 90.00
_cell_angle_gamma 120.00
loop_
_atom_site_label
_atom_site_type_symbol
_atom_site_fract_x
_atom_site_fract_y
_atom_site_fract_z
Sr1 Sr 0.0000 0.0000 0.1107
Hg1 Hg 0.0000 0.0000 0.3630
H1 H 0.0000 0.0000 0.1980
```

Most intense lines, 10 to 80 degrees two-theta, in order of rising 2θ:
2θ 27.39, rel. 100, (1 0 4); 2θ 32.94, rel. 27, (1 0 7); 2θ 35.20, rel. 37, (0 1 8); 2θ 42.79, rel. 54, (1 1 0); 2θ 43.86, rel. 12, (1 1 3); 2θ 51.52, rel. 20, (0 2 4); 2θ 56.53, rel. 10, (2 0 8); 2θ 58.52, rel. 10, (1 1 12); 2θ 66.24, rel. 13, (1 1 15); 2θ 69.12, rel. 16, (2 1 4); 2θ 73.40, rel. 9, (1 2 8); 2θ 78.33, rel. 13, (3 0 0)